Record 1
Starting from DFT lattice parameters and positions (PBE), the X-ray diffraction stick pattern of BaNpNiSe4 was simulated for λ = 1.5418 Å (Cu Kα).
Peak positions follow from Bragg's law for the DFT cell and can differ from measured ones.

Most intense lines, 2θ from 10° to 80°, by intensity:
2theta  Rel. int.
10.32  100
31.65  94
28.85  79
19.95  75
32.56  62
27.83  60

Atomic structure:
a = 6.942 Å, b = 5.993 Å, c = 8.958 Å
α = 90.00°, β = 106.79°, γ = 90.00°
Space group P2_1/m (No. 11)
One atom of each set of equivalent atoms:
1 Ba 0.244 0.250 0.438 (multiplicity 2)
2 Np 0.238 0.250 0.945 (multiplicity 2)
3 Ni 0.258 0.750 0.170 (multiplicity 2)
4 Se 0.061 0.750 0.347 (multiplicity 2)
5 Se 0.076 0.750 0.911 (multiplicity 2)
6 Se 0.482 0.509 0.781 (multiplicity 4)

***

Record 2
Starting from DFT lattice parameters and positions (PBE), the X-ray diffraction stick pattern of AcSm2Cd8 was simulated for λ = 1.5418 Å (Cu Kα).
Peak positions follow from Bragg's law for the DFT cell and can differ from measured ones.

Most intense lines, 2θ from 10° to 80°, by intensity:
2theta  Rel. int.
32.06  100
32.49  95
35.20  83
36.13  49
33.17  45
39.74  29

Atomic structure:
a = 8.465 Å, b = 16.305 Å, c = 5.402 Å
α = 90.00°, β = 129.46°, γ = 90.00°
Space group C2/m (No. 12)
One atom of each set of equivalent atoms:
1 Ac 0.000 0.000 0.000 (multiplicity 2)
2 Sm 0.000 0.308 0.500 (multiplicity 4)
3 Cd 0.000 0.205 0.000 (multiplicity 4)
4 Cd 0.001 0.500 0.251 (multiplicity 4)
5 Cd 0.233 0.131 0.734 (multiplicity 8)

***

Record 3
Starting from DFT lattice parameters and positions (PBE), the X-ray diffraction stick pattern of Pr3Ho4Tm5 was simulated for λ = 1.5418 Å (Cu Kα).
Peak positions follow from Bragg's law for the DFT cell and can differ from measured ones.

Most intense lines, 2θ from 10° to 80°, by intensity:
2theta  Rel. int.
30.81  100
35.78  34
51.40  30
61.24  18
35.63  17
61.02  14

Atomic structure:
a = 6.142 Å, b = 7.114 Å, c = 9.410 Å
α = 101.01°, β = 108.93°, γ = 90.14°
Space group P-1 (No. 2)
One atom of each set of equivalent atoms:
1 Pr 0.000 0.000 0.000 (multiplicity 1)
2 Pr 0.499 0.915 0.666 (multiplicity 2)
3 Ho 0.002 0.170 0.668 (multiplicity 2)
4 Ho 0.498 0.582 0.331 (multiplicity 2)
5 Tm 0.000 0.500 0.000 (multiplicity 1)
6 Tm 0.001 0.337 0.335 (multiplicity 2)
7 Tm 0.499 0.745 0.999 (multiplicity 2)

***

Record 4
Starting from DFT lattice parameters and positions (PBE), the X-ray diffraction stick pattern of HoAl2Rh was simulated for λ = 1.5418 Å (Cu Kα).
Peak positions follow from Bragg's law for the DFT cell and can differ from measured ones.

Most intense lines, 2θ from 10° to 80°, by intensity:
2theta  Rel. int.
36.68  100
24.93  69
34.65  36
52.00  29
36.23  26
34.81  25

Atomic structure:
a = 15.027 Å, b = 7.144 Å, c = 5.562 Å
α = 90.00°, β = 90.00°, γ = 90.00°
Space group Pnma (No. 62)
One atom of each set of equivalent atoms:
1 Ho 0.101 0.250 0.236 (multiplicity 4)
2 Ho 0.138 0.750 0.458 (multiplicity 4)
3 Al 0.042 0.058 0.752 (multiplicity 8)
4 Al 0.211 0.551 0.934 (multiplicity 8)
5 Rh 0.072 0.750 0.988 (multiplicity 4)
6 Rh 0.189 0.250 0.701 (multiplicity 4)